Calculated powder diffraction line list
Compound: CaB2H10O
Radiation: λ = 1.5418 Å (Cu Kα)
Structure: a structure optimized by DFT (PBE)

Top 10 peaks for 2θ from 10° to 80°, by angle:
2θ/deg, I/Imax
15.18, 31
17.20, 27
18.73, 40
20.41, 100
31.12, 39
31.86, 36
35.58, 22
39.94, 22
43.29, 19
45.14, 21

Crystal structure
```
56
Lattice="8.1160 0.0000 0.0000 0.0000 5.7477 0.0000 0.0000 0.0000 11.6727" Properties=species:S:1:pos:R:3 pbc="T T T"
Ca 1.5367 1.4369 1.0212
Ca 2.5213 4.3108 6.8575
Ca 5.5947 1.4369 4.8152
Ca 6.5793 4.3108 10.6515
B 0.1107 4.3108 8.3585
B 1.1115 4.3108 0.6598
B 2.9465 1.4369 6.4961
B 3.9473 1.4369 2.5221
B 4.1687 4.3108 9.1506
B 5.1695 4.3108 5.1766
B 7.0045 1.4369 11.0130
B 8.0052 1.4369 3.3142
H 0.0956 1.4369 10.8024
H 0.4806 4.3108 9.5227
H 0.5714 3.2986 7.8305
H 0.5714 5.3229 7.8305
H 0.7171 3.5264 4.5102
H 0.7171 5.0951 4.5102
H 1.1072 1.4369 3.4471
H 1.4420 3.3746 11.6225
H 1.4420 5.2469 11.6225
H 1.6877 4.3108 1.7396
H 2.3702 1.4369 7.5760
H 2.6159 0.5008 5.7861
H 2.6159 2.3730 5.7861
H 2.9508 4.3108 9.2835
H 3.3408 0.6525 10.3465
H 3.3408 2.2213 10.3465
H 3.4866 0.4248 1.9941
H 3.4866 2.4491 1.9941
H 3.5774 1.4369 3.6863
H 3.9624 4.3108 4.9660
H 4.1536 1.4369 6.7067
H 4.5386 4.3108 7.9864
H 4.6294 3.2986 9.6786
H 4.6294 5.3229 9.6786
H 4.7751 3.5264 1.3262
H 4.7751 5.0951 1.3262
H 5.1651 1.4369 2.3892
H 5.5000 3.3746 5.8866
H 5.5000 5.2469 5.8866
H 5.7457 4.3108 4.0968
H 6.4282 1.4369 9.9331
H 6.6739 0.5008 0.0503
H 6.6739 2.3730 0.0503
H 7.0088 4.3108 8.2256
H 7.3988 0.6525 7.1625
H 7.3988 2.2213 7.1625
H 7.5446 0.4248 3.8422
H 7.5446 2.4491 3.8422
H 7.6354 1.4369 2.1501
H 8.0203 4.3108 0.8704
O 1.0828 4.3108 4.9721
O 2.9751 1.4369 10.8085
O 5.1408 4.3108 0.8642
O 7.0331 1.4369 6.7006
```

Calculated powder diffraction line list
Compound: CaB2H10O9
Radiation: λ = 1.5418 Å (Cu Kα)
Structure: a structure optimized by DFT (PBE)

Top 10 peaks for 2θ from 10° to 80°, by angle:
2θ/deg, I/Imax
12.28, 100
14.83, 30
24.57, 23
24.73, 22
27.65, 28
29.62, 53
30.60, 34
35.66, 32
43.37, 23
47.10, 20

Crystal structure
```
44
Lattice="6.5187 0.0000 0.0000 2.1839 7.5075 0.0000 2.9791 2.1379 7.2475" Properties=species:S:1:pos:R:3 pbc="T T T"
Ca 1.3303 0.5278 1.7057
Ca 10.3514 9.1175 5.5418
B 4.0163 4.2083 6.1036
B 6.8249 9.1769 5.7409
B 4.8568 0.4685 1.5066
B 7.6654 5.4371 1.1439
H 3.8505 6.3429 4.3760
H 2.7909 2.7970 3.0674
H 2.1440 3.0967 0.2917
H 3.0353 5.3236 0.3493
H 3.6173 4.2926 1.9786
H 4.3665 4.2693 3.4542
H 5.5755 5.0902 5.0260
H 5.9296 7.8888 3.2145
H 6.4388 7.2578 5.0712
H 3.6164 1.3514 0.0530
H 8.0653 8.2940 7.1945
H 5.2429 2.3876 2.1763
H 5.7521 1.7565 4.0330
H 6.1062 4.5552 2.2215
H 7.3152 5.3761 3.7933
H 8.0644 5.3527 5.2689
H 8.6464 4.3218 6.8982
H 9.5377 6.5486 6.9558
H 8.8908 6.8484 4.1801
H 7.8312 3.3024 2.8715
O 1.8520 2.5222 3.2189
O 2.4339 4.7258 0.8715
O 3.7169 2.8076 5.8402
O 1.9714 2.1499 0.0235
O 4.6052 4.9488 4.9318
O 5.9853 8.1371 5.0511
O 7.1701 8.7171 7.1285
O 4.3205 3.8431 2.5403
O 5.7896 7.7348 2.2478
O 5.8921 1.9105 4.9997
O 7.3612 5.8023 4.7072
O 4.5116 0.9282 0.1190
O 5.6964 1.5083 2.1964
O 7.0765 4.6966 2.3157
O 9.7103 7.4955 7.2240
O 7.9648 6.8378 1.4073
O 9.2478 4.9195 6.3760
O 9.8297 7.1231 4.0286
```

Calculated powder diffraction line list
Compound: CaSiBHO5
Radiation: λ = 1.5418 Å (Cu Kα)
Structure: a structure optimized by DFT (PBE)

Top 10 peaks for 2θ from 10° to 80°, by angle:
2θ/deg, I/Imax
23.37, 51
25.85, 30
28.33, 100
29.48, 38
30.92, 85
35.22, 43
39.62, 33
39.72, 25
40.76, 31
55.11, 27

Crystal structure
```
36
Lattice="4.9098 0.0000 0.0000 0.0000 7.7005 0.0000 -0.0298 0.0000 9.7059" Properties=species:S:1:pos:R:3 pbc="T T T"
Ca 0.0488 0.8133 1.5776
Ca 0.0339 3.0370 6.4305
Ca 4.8461 4.6636 3.2754
Ca 4.8312 6.8872 8.1283
Si 2.2685 5.6639 5.6741
Si 2.2834 5.8869 0.8211
Si 2.5966 1.8137 8.8847
Si 2.6115 2.0366 4.0318
B 2.1045 0.6890 6.4033
B 2.1195 3.1613 1.5503
B 2.7605 4.5392 8.1555
B 2.7754 7.0116 3.3026
H 0.9415 4.1128 8.9656
H 0.9564 7.4381 4.1126
H 3.9236 0.2625 5.5932
H 3.9385 3.5878 0.7403
O 1.1496 4.6223 5.2155
O 1.1645 6.9285 0.3626
O 1.2578 4.4964 8.1193
O 1.2727 7.0544 3.2663
O 1.5307 4.5160 1.4224
O 1.5158 7.0348 6.2753
O 1.5910 1.2779 7.6635
O 1.6059 2.5724 2.8106
O 1.6188 1.5309 5.2681
O 1.6337 2.3193 0.4152
O 3.2463 5.3812 9.2907
O 3.2612 6.1696 4.4378
O 3.2741 5.1281 6.8953
O 3.2890 6.4227 2.0424
O 3.3641 0.6658 3.4306
O 3.3492 3.1845 8.2835
O 3.6073 0.6462 6.4395
O 3.6222 3.2041 1.5866
O 3.7155 0.7720 9.3433
O 3.7304 3.0782 4.4904
```

Calculated powder diffraction line list
Compound: CaBIr
Radiation: λ = 1.5418 Å (Cu Kα)
Structure: a structure optimized by DFT (PBE)

Top 10 peaks for 2θ from 10° to 80°, by angle:
2θ/deg, I/Imax
19.99, 100
20.48, 57
28.66, 58
29.91, 94
35.19, 69
35.28, 50
40.63, 24
41.40, 38
42.39, 30
50.47, 26

Crystal structure
```
12
Lattice="5.6284 0.0000 0.0000 0.0000 7.1377 0.0000 -4.2540 0.0000 5.4643" Properties=species:S:1:pos:R:3 pbc="T T T"
Ca -0.6431 0.0058 1.6950
Ca -2.7701 3.5630 4.4271
Ca 4.1445 3.5747 1.0372
Ca 2.0175 7.1318 3.7693
B 2.1159 1.0565 0.8986
B -0.0111 2.5123 3.6308
B 1.3855 4.6254 1.8335
B -0.7414 6.0811 4.5656
Ir -0.8611 1.0119 4.7239
Ir 1.2659 2.5569 1.9917
Ir 0.1085 4.5807 3.4725
Ir 2.2355 6.1258 0.7404
```

Calculated powder diffraction line list
Compound: CaB3Ir5
Radiation: λ = 1.5418 Å (Cu Kα)
Structure: a structure optimized by DFT (PBE)

Top 10 peaks for 2θ from 10° to 80°, by angle:
2θ/deg, I/Imax
11.53, 31
31.03, 42
33.73, 57
37.21, 57
37.35, 46
39.69, 27
39.90, 100
41.03, 36
43.18, 33
70.93, 37

Crystal structure
```
18
Lattice="1.6427 -4.8154 0.0000 1.6427 4.8154 0.0000 0.0000 0.0000 15.3521" Properties=species:S:1:pos:R:3 pbc="T T T"
Ca 1.6427 2.8768 11.5140
Ca 1.6427 -2.8768 3.8380
B 1.6427 4.3091 3.8380
B 1.6427 1.3806 8.3115
B 1.6427 1.3806 14.7166
B 1.6427 -1.3806 0.6354
B 1.6427 -1.3806 7.0406
B 1.6427 -4.3091 11.5140
Ir 0.0000 0.0000 0.0000
Ir 0.0000 0.0000 7.6760
Ir 1.6427 2.2799 1.3060
Ir 1.6427 2.2799 6.3701
Ir 1.6427 0.3042 10.1476
Ir 1.6427 0.3042 12.8805
Ir 1.6427 -0.3042 2.4716
Ir 1.6427 -0.3042 5.2045
Ir 1.6427 -2.2799 8.9820
Ir 1.6427 -2.2799 14.0461
```

Calculated powder diffraction line list
Compound: CaVB2Ir
Radiation: λ = 1.5418 Å (Cu Kα)
Structure: a structure optimized by DFT (PBE)

Top 10 peaks for 2θ from 10° to 80°, by angle:
2θ/deg, I/Imax
17.97, 68
21.00, 100
27.77, 27
29.87, 91
35.08, 77
36.39, 34
42.39, 33
42.76, 43
47.77, 50
57.37, 35

Crystal structure
```
5
Lattice="4.2298 0.0000 0.0000 0.0000 4.2298 0.0000 0.0000 0.0000 4.9374" Properties=species:S:1:pos:R:3 pbc="T T T"
Ca 0.0000 0.0000 0.0000
V 2.1149 2.1149 2.4687
B 0.0000 2.1149 0.0000
B 2.1149 0.0000 0.0000
Ir 0.0000 0.0000 2.4687
```

Calculated powder diffraction line list
Compound: KCaBO3
Radiation: λ = 1.5418 Å (Cu Kα)
Structure: a structure optimized by DFT (PBE)

Top 10 peaks for 2θ from 10° to 80°, by angle:
2θ/deg, I/Imax
18.54, 19
28.27, 23
32.40, 79
34.02, 100
40.31, 64
47.69, 63
58.43, 29
58.84, 18
67.84, 19
68.44, 18

Crystal structure
```
12
Lattice="5.5260 0.0000 0.0000 -2.7630 4.7857 0.0000 0.0000 0.0000 6.3137" Properties=species:S:1:pos:R:3 pbc="T T T"
K 0.0000 3.1905 1.5784
K 2.7630 1.5952 4.7353
Ca 0.0000 0.0000 0.0000
Ca 0.0000 0.0000 3.1569
B 0.0000 3.1905 4.7353
B 2.7630 1.5952 1.5784
O 0.0000 1.7917 4.7353
O -1.2114 3.8899 4.7353
O 1.5516 0.8958 1.5784
O 1.2114 3.8899 4.7353
O 3.9744 0.8958 1.5784
O 2.7630 2.9940 1.5784
```